# 1
Structure and theoretical X-ray diffraction stick pattern of MgV2O4 (DFT lattice parameters and positions (PBE+U); Cu Ka).

The 8 most intense peaks (10 to 90 degrees two-theta), by intensity:
2θ 16.81, d = 5.275 Å, I 100; 2θ 38.07, d = 2.364 Å, I 61; 2θ 60.52, d = 1.530 Å, I 31; 2θ 37.86, d = 2.376 Å, I 31; 2θ 33.83, d = 2.650 Å, I 20; 2θ 48.74, d = 1.868 Å, I 17; 2θ 48.50, d = 1.877 Å, I 17; 2θ 48.90, d = 1.863 Å, I 16

Crystal structure
Lattice parameters (Å, degrees): 3.0582 3.0582 10.5500 90.26 90.26 119.90
Sites, in units of the cell vectors:
1 Mg 0.0000 0.0000 0.0000
2 V 0.6606 0.3332 0.7449
3 V 0.6668 0.3394 0.2551
4 O 0.0020 0.0080 0.3310
5 O 0.3316 0.6668 0.1218
6 O 0.3332 0.6684 0.8782
7 O 0.9920 0.9980 0.6690

=====

# 2
Structure and theoretical X-ray diffraction stick pattern of Li9Mn2Co5O16 (DFT lattice parameters and positions (PBE+U); Cu Ka).

The 8 most intense peaks (10 to 90 degrees two-theta), by intensity:
2θ 18.42, d = 4.816 Å, I 100; 2θ 44.12, d = 2.052 Å, I 52; 2θ 42.57, d = 2.124 Å, I 29; 2θ 36.28, d = 2.476 Å, I 25; 2θ 35.30, d = 2.543 Å, I 17; 2θ 63.09, d = 1.474 Å, I 15; 2θ 62.87, d = 1.478 Å, I 15; 2θ 47.53, d = 1.913 Å, I 10

Crystal structure
Lattice parameters (Å, degrees): 5.8980 5.8980 10.3243 108.28 108.28 58.70
Sites, in units of the cell vectors:
1 Li 0.0000 0.0000 0.0000
2 Li 0.2422 0.2422 0.2443
3 Li 0.2445 0.7516 0.7508
4 Li 0.2484 0.7555 0.2492
5 Li 0.2507 0.2507 0.7541
6 Li 0.7493 0.7493 0.2459
7 Li 0.7516 0.2445 0.7508
8 Li 0.7555 0.2484 0.2492
9 Li 0.7578 0.7578 0.7557
10 Mn 0.0000 0.5000 0.0000
11 Mn 0.5000 0.0000 0.0000
12 Co 0.0000 0.0000 0.5000
13 Co 0.0000 0.5000 0.5000
14 Co 0.5000 0.0000 0.5000
15 Co 0.5000 0.5000 0.0000
16 Co 0.5000 0.5000 0.5000
17 O 0.1237 0.6418 0.3890
18 O 0.1369 0.1369 0.3794
19 O 0.1370 0.1370 0.8873
20 O 0.1394 0.6078 0.8943
21 O 0.3566 0.3566 0.1188
22 O 0.3582 0.8763 0.6110
23 O 0.3742 0.3742 0.6174
24 O 0.3922 0.8606 0.1057
25 O 0.6078 0.1394 0.8943
26 O 0.6258 0.6258 0.3826
27 O 0.6418 0.1237 0.3890
28 O 0.6434 0.6434 0.8812
29 O 0.8606 0.3922 0.1057
30 O 0.8630 0.8630 0.1127
31 O 0.8631 0.8631 0.6206
32 O 0.8763 0.3582 0.6110

=====

# 3
Structure and theoretical X-ray diffraction stick pattern of VCrP2O8 (DFT lattice parameters and positions (PBE+U); Cu Ka).

The 8 most intense peaks (10 to 90 degrees two-theta), by intensity:
2θ 24.31, d = 3.661 Å, I 100; 2θ 20.64, d = 4.303 Å, I 67; 2θ 33.07, d = 2.708 Å, I 58; 2θ 36.16, d = 2.484 Å, I 33; 2θ 47.45, d = 1.916 Å, I 27; 2θ 49.81, d = 1.831 Å, I 23; 2θ 56.60, d = 1.626 Å, I 21; 2θ 32.06, d = 2.792 Å, I 16

Crystal structure
Lattice parameters (Å, degrees): 8.5608 8.5608 8.5608 60.34 60.34 60.34
Sites, in units of the cell vectors:
1 V 0.0000 0.0000 0.0000
2 V 0.2130 0.2130 0.2130
3 V 0.5003 0.5003 0.5003
4 Cr 0.3564 0.3564 0.3564
5 Cr 0.7142 0.7142 0.7142
6 Cr 0.8566 0.8566 0.8566
7 P 0.1067 0.8134 0.4005
8 P 0.3148 0.6069 0.8994
9 P 0.4005 0.1067 0.8134
10 P 0.6069 0.8994 0.3148
11 P 0.8134 0.4005 0.1067
12 P 0.8994 0.3148 0.6069
13 O 0.0457 0.8496 0.2430
14 O 0.0979 0.2955 0.4432
15 O 0.1150 0.7686 0.9163
16 O 0.1712 0.9706 0.3610
17 O 0.2430 0.0457 0.8496
18 O 0.2694 0.6149 0.4179
19 O 0.2955 0.4432 0.0979
20 O 0.3508 0.5459 0.7412
21 O 0.3610 0.1712 0.9706
22 O 0.4179 0.2694 0.6149
23 O 0.4432 0.0979 0.2955
24 O 0.4714 0.6666 0.8664
25 O 0.5459 0.7412 0.3508
26 O 0.5989 0.9444 0.8001
27 O 0.6149 0.4179 0.2694
28 O 0.6666 0.8664 0.4714
29 O 0.7412 0.3508 0.5459
30 O 0.7686 0.9163 0.1150
31 O 0.8001 0.5989 0.9444
32 O 0.8496 0.2430 0.0457
33 O 0.8664 0.4714 0.6666
34 O 0.9163 0.1150 0.7686
35 O 0.9444 0.8001 0.5989
36 O 0.9706 0.3610 0.1712

=====

# 4
Structure and theoretical X-ray diffraction stick pattern of V7P6O24 (DFT lattice parameters and positions (PBE+U); Cu Ka).

The 8 most intense peaks (10 to 90 degrees two-theta), by intensity:
2θ 29.27, d = 3.051 Å, I 100; 2θ 30.01, d = 2.977 Å, I 52; 2θ 28.31, d = 3.153 Å, I 25; 2θ 33.00, d = 2.715 Å, I 24; 2θ 20.28, d = 4.379 Å, I 21; 2θ 33.83, d = 2.649 Å, I 18; 2θ 12.76, d = 6.936 Å, I 14; 2θ 56.95, d = 1.617 Å, I 14

Crystal structure
Lattice parameters (Å, degrees): 6.4512 8.2099 9.4134 105.21 108.37 101.88
Sites, in units of the cell vectors:
1 V 0.0000 0.0000 0.0000
2 V 0.0426 0.7144 0.5201
3 V 0.2800 0.8072 0.2829
4 V 0.3910 0.4577 0.1098
5 V 0.6090 0.5423 0.8902
6 V 0.7200 0.1928 0.7171
7 V 0.9574 0.2856 0.4799
8 P 0.0894 0.5926 0.8330
9 P 0.2241 0.1392 0.7684
10 P 0.3985 0.2343 0.3718
11 P 0.6015 0.7657 0.6282
12 P 0.7759 0.8608 0.2316
13 P 0.9106 0.4074 0.1670
14 O 0.0150 0.1837 0.6643
15 O 0.0615 0.5476 0.6539
16 O 0.1151 0.7818 0.9216
17 O 0.1270 0.5360 0.1661
18 O 0.2031 0.9440 0.7005
19 O 0.2247 0.1871 0.9406
20 O 0.2485 0.2769 0.4660
21 O 0.2765 0.0414 0.2429
22 O 0.3022 0.5395 0.9145
23 O 0.3678 0.7634 0.5024
24 O 0.4512 0.2555 0.7721
25 O 0.4528 0.3657 0.2925
26 O 0.5472 0.6343 0.7075
27 O 0.5488 0.7445 0.2279
28 O 0.6322 0.2366 0.4976
29 O 0.6978 0.4605 0.0855
30 O 0.7235 0.9586 0.7571
31 O 0.7515 0.7231 0.5340
32 O 0.7753 0.8129 0.0594
33 O 0.7969 0.0560 0.2995
34 O 0.8730 0.4640 0.8339
35 O 0.8849 0.2182 0.0784
36 O 0.9385 0.4524 0.3461
37 O 0.9850 0.8163 0.3357

=====

# 5
Structure and theoretical X-ray diffraction stick pattern of MgCo5P8O28 (DFT lattice parameters and positions (PBE+U); Cu Ka).

The 8 most intense peaks (10 to 90 degrees two-theta), by intensity:
2θ 27.43, d = 3.252 Å, I 100; 2θ 17.35, d = 5.111 Å, I 86; 2θ 18.15, d = 4.888 Å, I 83; 2θ 27.54, d = 3.238 Å, I 79; 2θ 28.26, d = 3.157 Å, I 65; 2θ 27.13, d = 3.287 Å, I 63; 2θ 16.63, d = 5.329 Å, I 53; 2θ 25.34, d = 3.515 Å, I 50

Crystal structure
Lattice parameters (Å, degrees): 7.4177 7.8638 10.2342 72.54 86.38 85.68
Sites, in units of the cell vectors:
1 Mg 0.0000 0.0000 0.0000
2 Co 0.1017 0.6787 0.3506
3 Co 0.1097 0.6928 0.7838
4 Co 0.3394 0.0484 0.7390
5 Co 0.5823 0.3957 0.6667
6 Co 0.5928 0.4116 0.1495
7 P 0.1473 0.9911 0.4838
8 P 0.3197 0.7925 0.0544
9 P 0.3694 0.3038 0.4278
10 P 0.5589 0.1074 0.9851
11 P 0.6789 0.7556 0.7111
12 P 0.6828 0.7300 0.4264
13 P 0.9842 0.3431 0.7483
14 P 0.9845 0.3727 0.0215
15 O 0.0454 0.1809 0.0916
16 O 0.0943 0.5044 0.6825
17 O 0.0987 0.1633 0.7963
18 O 0.1302 0.5047 0.9682
19 O 0.1456 0.7877 0.1479
20 O 0.1941 0.9179 0.6409
21 O 0.1978 0.8326 0.4250
22 O 0.2189 0.4459 0.3832
23 O 0.2424 0.8486 0.9078
24 O 0.3135 0.1183 0.4170
25 O 0.4125 0.9651 0.0624
26 O 0.4129 0.2652 0.5827
27 O 0.4507 0.6324 0.0907
28 O 0.4869 0.1917 0.8369
29 O 0.5384 0.2467 0.0618
30 O 0.5426 0.3396 0.3359
31 O 0.5478 0.9148 0.7175
32 O 0.5567 0.5767 0.4925
33 O 0.5743 0.5821 0.7561
34 O 0.6065 0.8845 0.3177
35 O 0.7405 0.0086 0.9856
36 O 0.7485 0.7892 0.5548
37 O 0.8257 0.3217 0.6637
38 O 0.8328 0.4483 0.1030
39 O 0.8428 0.7533 0.7921
40 O 0.8597 0.6480 0.3712
41 O 0.8806 0.3641 0.8858
42 O 0.9700 0.0890 0.4549